[1]
# SrMg5
Simulated XRD peak list, a wavelength of 1.5418 Å. Input: DFT lattice parameters and positions (PBE).

Peak list (10 most intense, 10 to 80 degrees two-theta, low angle first)
2θ/deg  d (Å)  I (rel.)
11.07  7.994  378
15.57  5.692  263
29.55  3.023  228
30.24  2.955  228
31.17  2.870  339
31.44  2.846  561
33.64  2.665  331
34.74  2.582  1000
35.28  2.544  672
54.30  1.689  237

Atomic structure:
```
SrMg5
1.0
6.318 -1.641 0.000
6.318 1.641 0.000
-2.467 0.000 7.994
Sr Mg
1 5
Direct
0.000 0.000 0.000
0.275 0.275 0.074
0.334 0.334 0.650
0.626 0.626 0.714
0.678 0.678 0.357
0.950 0.950 0.403
```

***

[2]
# Sr3Mg
Simulated XRD peak list, a wavelength of 1.5418 Å. Input: DFT lattice parameters and positions (PBE).

Peak list (10 most intense, 10 to 80 degrees two-theta, low angle first)
2θ/deg  d (Å)  I (rel.)
17.27  5.134  99
19.97  4.446  53
28.39  3.144  1000
33.42  2.681  60
40.58  2.223  189
44.41  2.040  27
50.27  1.815  401
58.74  1.572  125
66.51  1.406  172
73.84  1.283  42

Atomic structure:
```
Sr3Mg
1.0
0.000 4.446 4.446
4.446 0.000 4.446
4.446 4.446 0.000
Sr Mg
3 1
Direct
0.000 0.000 0.000
0.250 0.250 0.250
0.750 0.750 0.750
0.500 0.500 0.500
```

***

[3]
# SrMg2
Simulated XRD peak list, a wavelength of 1.5418 Å. Input: DFT lattice parameters and positions (PBE).

Peak list (10 most intense, 10 to 80 degrees two-theta, low angle first)
2θ/deg  d (Å)  I (rel.)
17.01  5.211  411
27.41  3.254  800
28.07  3.179  754
32.15  2.784  534
32.72  2.737  1000
33.00  2.714  493
49.27  1.850  312
52.31  1.749  261
52.69  1.737  251
56.57  1.627  255

Atomic structure:
```
SrMg2
1.0
3.179 1.835 5.377
-3.179 1.835 5.377
0.000 -3.671 5.377
Sr Mg
2 4
Direct
0.125 0.125 0.125
0.875 0.875 0.875
0.000 0.500 0.500
0.500 0.000 0.500
0.500 0.500 0.000
0.500 0.500 0.500
```

***

[4]
# SrMg
Simulated XRD peak list, a wavelength of 1.5418 Å. Input: DFT lattice parameters and positions (PBE).

Peak list (10 most intense, 10 to 80 degrees two-theta, low angle first)
2θ/deg  d (Å)  I (rel.)
24.03  3.703  253
25.27  3.525  312
26.53  3.360  493
30.02  2.976  1000
35.15  2.553  158
41.39  2.182  162
44.52  2.035  266
48.43  1.880  216
51.22  1.784  190
54.63  1.680  179

Atomic structure:
```
SrMg
1.0
4.070 0.000 0.000
-2.035 3.525 0.000
0.000 0.000 11.110
Sr Mg
2 2
Direct
0.333 0.667 0.339
0.667 0.333 0.661
0.333 0.667 0.908
0.667 0.333 0.092
```